Simulated XRD peak list
Compound: Ca11Cr2N10
Radiation: Cu Kα (λ = 1.5418 Å)
Structure: a DFT-relaxed cell (PBE, the Materials Project)

Atomic structure:
Unit cell a=15.183 b=15.183 c=3.573 alpha=90.00 beta=90.00 gamma=90.00
Fractional coordinates of all 46 atoms:
Ca 0.000 0.000 0.000
Ca 0.027 0.200 0.500
Ca 0.096 0.627 0.500
Ca 0.127 0.404 0.000
Ca 0.157 0.843 0.000
Ca 0.200 0.027 0.500
Ca 0.300 0.527 0.000
Ca 0.343 0.343 0.500
Ca 0.373 0.904 0.500
Ca 0.404 0.127 0.000
Ca 0.473 0.700 0.000
Ca 0.500 0.500 0.500
Ca 0.527 0.300 0.000
Ca 0.596 0.873 0.000
Ca 0.627 0.096 0.500
Ca 0.657 0.657 0.500
Ca 0.700 0.473 0.000
Ca 0.800 0.973 0.500
Ca 0.843 0.157 0.000
Ca 0.873 0.596 0.000
Ca 0.904 0.373 0.500
Ca 0.973 0.800 0.500
Cr 0.197 0.197 0.000
Cr 0.303 0.697 0.500
Cr 0.697 0.303 0.500
Cr 0.803 0.803 0.000
N 0.009 0.687 0.000
N 0.081 0.919 0.500
N 0.115 0.115 0.000
N 0.187 0.491 0.500
N 0.223 0.777 0.500
N 0.277 0.277 0.000
N 0.313 0.991 0.000
N 0.385 0.615 0.500
N 0.419 0.419 0.000
N 0.491 0.187 0.500
N 0.509 0.813 0.500
N 0.581 0.581 0.000
N 0.615 0.385 0.500
N 0.687 0.009 0.000
N 0.723 0.723 0.000
N 0.777 0.223 0.500
N 0.813 0.509 0.500
N 0.885 0.885 0.000
N 0.919 0.081 0.500
N 0.991 0.313 0.000

Top 8 peaks for 10° ≤ 2θ ≤ 90°, low angle first:
- d = 3.391 Å, 2θ 26.28, I = 31
- d = 2.976 Å, 2θ 30.02, I = 86
- d = 2.724 Å, 2θ 32.87, I = 100
- d = 2.684 Å, 2θ 33.39, I = 39
- d = 2.529 Å, 2θ 35.50, I = 56
- d = 2.314 Å, 2θ 38.92, I = 37
- d = 1.787 Å, 2θ 51.11, I = 32
- d = 1.533 Å, 2θ 60.40, I = 27